Starting from a PBE+U-relaxed structure, the powder XRD pattern of Li3CuNi3O8 was computed for λ = 1.5418 Å (Cu Kα).

Peak list (10 most intense, 2θ = 5–70°, sorted by position)
2θ (°), d (Å), I/Imax
18.50, 4.797, 100
35.83, 2.506, 15
36.20, 2.481, 14
37.18, 2.419, 12
43.27, 2.091, 22
43.71, 2.071, 21
45.16, 2.008, 19
48.27, 1.885, 9
63.19, 1.471, 12
63.96, 1.456, 11

Crystal structure
Cell: 5.716 5.769 5.824 Å, 118.92 91.77 118.38°
Space group P-1 (No. 2)
Unique sites:
Li  0.000  0.000  0.000
Li  0.000  0.500  0.000
Li  0.500  0.000  0.000
Cu  0.000  0.500  0.500
Ni  0.000  0.000  0.500
Ni  0.500  0.000  0.500
Ni  0.500  0.500  0.500
O  0.208  0.951  0.718
O  0.239  0.991  0.278
O  0.259  0.508  0.719
O  0.280  0.542  0.287